Li2CoP2O7: simulated XRD peak list (Cu Kα X-rays), based on a crystal structure in the Materials Project, relaxed with GGA+U.
No peak broadening, texture or thermal motion is included.

Cell and atoms:
Unit cell a=5.190 b=7.259 c=8.228 alpha=65.90 beta=85.59 gamma=81.10
Sites, in units of the cell vectors:
1 Li 0.205 0.320 0.059
2 Li 0.206 0.366 0.494
3 Li 0.794 0.634 0.506
4 Li 0.795 0.680 0.941
5 Co 0.317 0.772 0.227
6 Co 0.683 0.228 0.773
7 P 0.234 0.954 0.805
8 P 0.269 0.639 0.674
9 P 0.731 0.361 0.326
10 P 0.766 0.046 0.195
11 O 0.062 0.035 0.156
12 O 0.086 0.544 0.828
13 O 0.164 0.658 0.495
14 O 0.285 0.872 0.647
15 O 0.329 0.164 0.721
16 O 0.399 0.804 0.965
17 O 0.446 0.464 0.299
18 O 0.554 0.536 0.701
19 O 0.601 0.196 0.035
20 O 0.671 0.836 0.279
21 O 0.715 0.128 0.353
22 O 0.836 0.342 0.505
23 O 0.914 0.456 0.172
24 O 0.938 0.965 0.844

Top 10 peaks for 2θ = 10–90°, by angle:
- hkl 0 1 1, 13.89 deg, 6.375 Å, I 67
- hkl 1 1 0, 20.49 deg, 4.336 Å, I 100
- hkl 1 -1 0, 23.42 deg, 3.799 Å, I 67
- hkl 0 0 2, 23.71 deg, 3.753 Å, I 88
- hkl 1 1 2, 26.73 deg, 3.335 Å, I 28
- hkl 1 2 1, 28.08 deg, 3.178 Å, I 50
- hkl 0 1 3, 32.76 deg, 2.734 Å, I 31
- hkl 2 0 0, 35.00 deg, 2.563 Å, I 24
- hkl 2 1 1, 35.79 deg, 2.509 Å, I 22
- hkl 0 3 1, 37.91 deg, 2.373 Å, I 39